1.
TmPuMg2Au4: theoretical powder XRD pattern (Cu Ka), based on a PBE-relaxed structure.

Most intense lines, 2θ = 10–80°, low angle first:
two_theta	I (rel.)
22.16	29
25.59	18
36.38	99
36.61	100
52.57	35
65.31	17
65.77	36
65.92	18
77.27	11
77.84	12

Atomic structure:
```
8
Lattice="2.454 1.417 8.090 -2.454 1.417 8.090 0.000 -2.834 8.090" Properties=species:S:1:pos:R:3 pbc="T T T"
Tm 0.000 0.000 0.000
Pu 0.000 0.000 12.135
Mg 0.000 0.000 6.074
Mg 0.000 0.000 18.196
Au 0.000 0.000 2.920
Au 0.000 0.000 9.033
Au 0.000 0.000 15.237
Au 0.000 0.000 21.350
```

2.
Li4Cd5Ni: theoretical powder XRD pattern (Cu Ka), based on a PBE-relaxed structure.

Most intense lines, 2θ = 10–80°, low angle first:
two_theta	I (rel.)
25.05	41
28.25	65
38.11	100
40.38	45
48.11	27
58.44	14
59.69	11
66.15	11
67.32	14
71.92	29

Atomic structure:
```
10
Lattice="3.159 0.000 0.000 0.000 3.159 0.000 0.000 0.000 17.777" Properties=species:S:1:pos:R:3 pbc="T T T"
Li 0.000 0.000 1.814
Li 0.000 0.000 5.534
Li 0.000 0.000 12.243
Li 0.000 0.000 15.963
Cd 1.579 1.579 0.000
Cd 1.579 1.579 3.660
Cd 1.579 1.579 7.319
Cd 1.579 1.579 10.458
Cd 1.579 1.579 14.117
Ni 0.000 0.000 8.889
```